No. 1
For MgCo2Si4O12, a cell relaxed with PBE+U gives the calculated powder X-ray diffraction pattern in this record (copper Kα).
Kinematic intensities with the Lorentz-polarization factor, no thermal factor.

Cell and atoms:
Cell: 5.3462 6.4765 6.6104 Å, 83.09 74.51 75.38°
Element x y z (fractional)
Mg (0.0000, 0.0000, 0.0000)
Co (0.0118, 0.3809, 0.6204)
Co (0.5015, 0.1887, 0.8174)
Si (0.0136, 0.8899, 0.5227)
Si (0.4891, 0.6567, 0.9360)
Si (0.5103, 0.0682, 0.3442)
Si (0.9811, 0.4766, 0.1189)
O (0.0277, 0.6543, 0.6394)
O (0.1009, 0.2965, 0.9376)
O (0.1764, 0.6510, 0.0677)
O (0.3041, 0.9113, 0.3739)
O (0.3922, 0.2342, 0.5344)
O (0.4209, 0.9070, 0.8487)
O (0.5939, 0.4654, 0.7699)
O (0.5955, 0.1489, 0.0981)
O (0.6949, 0.6245, 0.0862)
O (0.8136, 0.9315, 0.3634)
O (0.9077, 0.0668, 0.7059)
O (0.9598, 0.3638, 0.3491)

Most intense lines, 10° ≤ 2θ ≤ 90°, sorted by position:
- 13.92°, I 58.2
- 14.16°, I 58.3
- 20.47°, I 43.7
- 25.19°, I 45.0
- 29.32°, I 100.0
- 29.99°, I 96.2
- 30.81°, I 54.3
- 31.14°, I 53.3
- 35.81°, I 84.7
- 56.14°, I 35.4



No. 2
For Mg14CoSiO16, a cell relaxed with PBE+U gives the calculated powder X-ray diffraction pattern in this record (copper Kα).
Kinematic intensities with the Lorentz-polarization factor, no thermal factor.

Cell and atoms:
Cell: 8.5454 8.5454 4.2772 Å, 90.00 90.00 90.00°
Element x y z (fractional)
Mg (0.0000, 0.2446, 0.0000)
Mg (0.0000, 0.5000, 0.5000)
Mg (0.0000, 0.7554, 0.0000)
Mg (0.2436, 0.2436, 0.5000)
Mg (0.2436, 0.7564, 0.5000)
Mg (0.2446, 0.0000, 0.0000)
Mg (0.2461, 0.5000, 0.0000)
Mg (0.5000, 0.0000, 0.5000)
Mg (0.5000, 0.2461, 0.0000)
Mg (0.5000, 0.7539, 0.0000)
Mg (0.7539, 0.5000, 0.0000)
Mg (0.7554, 0.0000, 0.0000)
Mg (0.7564, 0.2436, 0.5000)
Mg (0.7564, 0.7564, 0.5000)
Co (0.0000, 0.0000, 0.5000)
Si (0.5000, 0.5000, 0.5000)
O (0.0000, 0.0000, 0.0000)
O (0.0000, 0.2648, 0.5000)
O (0.0000, 0.5000, 0.0000)
O (0.0000, 0.7352, 0.5000)
O (0.2512, 0.2512, 0.0000)
O (0.2512, 0.7488, 0.0000)
O (0.2623, 0.5000, 0.5000)
O (0.2648, 0.0000, 0.5000)
O (0.5000, 0.0000, 0.0000)
O (0.5000, 0.2623, 0.5000)
O (0.5000, 0.5000, 0.0000)
O (0.5000, 0.7377, 0.5000)
O (0.7352, 0.0000, 0.5000)
O (0.7377, 0.5000, 0.5000)
O (0.7488, 0.2512, 0.0000)
O (0.7488, 0.7488, 0.0000)

Most intense lines, 10° ≤ 2θ ≤ 90°, sorted by position:
- 10.35°, I 4.3
- 14.66°, I 3.3
- 20.78°, I 2.3
- 23.27°, I 2.0
- 36.41°, I 14.9
- 42.29°, I 100.0
- 43.66°, I 3.2
- 61.35°, I 56.0
- 73.48°, I 9.2
- 77.34°, I 16.8



No. 3
For MgCo2Si4O12, a cell relaxed with PBE+U gives the calculated powder X-ray diffraction pattern in this record (copper Kα).
Kinematic intensities with the Lorentz-polarization factor, no thermal factor.

Cell and atoms:
Cell: 7.4714 7.4714 4.9804 Å, 105.43 105.43 94.68°
Element x y z (fractional)
Mg (0.0000, 0.0000, 0.0000)
Co (0.2614, 0.7386, 0.0000)
Co (0.4686, 0.5314, 0.5000)
Si (0.0281, 0.3983, 0.4928)
Si (0.4436, 0.1305, 0.0130)
Si (0.6017, 0.9719, 0.5072)
Si (0.8695, 0.5564, 0.9870)
O (0.0247, 0.7482, 0.0740)
O (0.0721, 0.2014, 0.3441)
O (0.2357, 0.5533, 0.6471)
O (0.2518, 0.9753, 0.9260)
O (0.4117, 0.3453, 0.1644)
O (0.4467, 0.7643, 0.3529)
O (0.5092, 0.1206, 0.7233)
O (0.6053, 0.0627, 0.2411)
O (0.6547, 0.5883, 0.8356)
O (0.7986, 0.9279, 0.6559)
O (0.8794, 0.4908, 0.2767)
O (0.9373, 0.3947, 0.7589)

Most intense lines, 10° ≤ 2θ ≤ 90°, sorted by position:
- 12.46°, I 62.0
- 19.66°, I 56.0
- 25.07°, I 39.6
- 25.32°, I 100.0
- 26.76°, I 60.2
- 28.86°, I 44.4
- 29.91°, I 68.6
- 30.35°, I 55.6
- 46.59°, I 24.5
- 49.58°, I 22.6



No. 4
For MgZn2Co2Si2O10, a cell relaxed with PBE+U gives the calculated powder X-ray diffraction pattern in this record (copper Kα).
Kinematic intensities with the Lorentz-polarization factor, no thermal factor.

Cell and atoms:
Cell: 5.4557 5.7545 7.2717 Å, 110.55 109.04 90.46°
Element x y z (fractional)
Mg (0.0000, 0.0000, 0.0000)
Zn (0.4191, 0.3070, 0.0003)
Zn (0.6374, 0.7424, 0.5034)
Co (0.0043, 0.4975, 0.2605)
Co (0.9437, 0.4168, 0.7188)
Si (0.3416, 0.1090, 0.4898)
Si (0.5381, 0.7774, 0.9620)
O (0.0514, 0.3472, 0.9921)
O (0.2181, 0.7488, 0.8846)
O (0.2271, 0.2139, 0.3033)
O (0.2432, 0.2386, 0.6879)
O (0.2708, 0.7973, 0.3946)
O (0.6540, 0.6329, 0.1269)
O (0.6576, 0.0769, 0.0687)
O (0.6691, 0.1323, 0.5837)
O (0.6912, 0.6852, 0.7867)
O (0.8826, 0.5150, 0.4704)

Most intense lines, 10° ≤ 2θ ≤ 90°, sorted by position:
- 16.61°, I 40.5
- 17.22°, I 22.2
- 25.76°, I 78.7
- 26.68°, I 49.9
- 27.28°, I 100.0
- 35.73°, I 31.7
- 36.02°, I 28.2
- 36.86°, I 49.6
- 37.84°, I 23.8
- 40.24°, I 35.0



No. 5
For MgZn2Co2Si2O10, a cell relaxed with PBE+U gives the calculated powder X-ray diffraction pattern in this record (copper Kα).
Kinematic intensities with the Lorentz-polarization factor, no thermal factor.

Cell and atoms:
Cell: 5.6299 6.2267 6.7169 Å, 73.12 74.03 88.44°
Element x y z (fractional)
Mg (0.0000, 0.0000, 0.0000)
Zn (0.1419, 0.3909, 0.1542)
Zn (0.5907, 0.0166, 0.6203)
Co (0.7347, 0.6364, 0.4122)
Co (0.7828, 0.5959, 0.9126)
Si (0.1756, 0.3450, 0.6203)
Si (0.5047, 0.0964, 0.1133)
O (0.0357, 0.3783, 0.8600)
O (0.2071, 0.0464, 0.1815)
O (0.2418, 0.0799, 0.6904)
O (0.4371, 0.4980, 0.4931)
O (0.5137, 0.3791, 0.0629)
O (0.6585, 0.9878, 0.2962)
O (0.6666, 0.0167, 0.9049)
O (0.7682, 0.7394, 0.6437)
O (0.9306, 0.6617, 0.1077)
O (0.9867, 0.3941, 0.4654)

Most intense lines, 10° ≤ 2θ ≤ 90°, sorted by position:
- 16.40°, I 21.7
- 22.86°, I 100.0
- 28.39°, I 26.5
- 28.98°, I 32.4
- 29.04°, I 27.9
- 30.04°, I 19.6
- 33.55°, I 29.5
- 35.24°, I 21.1
- 37.36°, I 16.7
- 54.68°, I 17.5



No. 6
For SmMgCoO3, a cell relaxed with PBE+U gives the calculated powder X-ray diffraction pattern in this record (copper Kα).
Kinematic intensities with the Lorentz-polarization factor, no thermal factor.

Cell and atoms:
Cell: 3.7885 3.7885 6.3298 Å, 90.00 90.00 90.00°
Element x y z (fractional)
Sm (0.0000, 0.0000, 0.0000)
Mg (0.0000, 0.0000, 0.5000)
Co (0.5000, 0.5000, 0.5000)
O (0.0000, 0.5000, 0.5000)
O (0.5000, 0.0000, 0.5000)
O (0.5000, 0.5000, 0.0000)

Most intense lines, 10° ≤ 2θ ≤ 90°, sorted by position:
- 23.48°, I 23.1
- 27.44°, I 100.0
- 28.20°, I 69.7
- 33.45°, I 51.2
- 36.42°, I 20.6
- 44.30°, I 47.0
- 48.03°, I 29.8
- 49.44°, I 20.3
- 56.20°, I 27.7
- 56.63°, I 35.2



No. 7
For Mg14CoSnO16, a cell relaxed with PBE+U gives the calculated powder X-ray diffraction pattern in this record (copper Kα).
Kinematic intensities with the Lorentz-polarization factor, no thermal factor.

Cell and atoms:
Cell: 4.3120 8.6691 8.6876 Å, 90.00 90.00 90.00°
Element x y z (fractional)
Mg (0.0000, 0.0000, 0.0000)
Mg (0.0000, 0.0000, 0.5000)
Mg (0.0000, 0.2466, 0.2411)
Mg (0.0000, 0.2466, 0.7589)
Mg (0.0000, 0.7534, 0.2411)
Mg (0.0000, 0.7534, 0.7589)
Mg (0.5000, 0.0000, 0.2469)
Mg (0.5000, 0.0000, 0.7531)
Mg (0.5000, 0.2392, 0.5000)
Mg (0.5000, 0.2511, 0.0000)
Mg (0.5000, 0.5000, 0.2344)
Mg (0.5000, 0.5000, 0.7656)
Mg (0.5000, 0.7489, 0.0000)
Mg (0.5000, 0.7608, 0.5000)
Co (0.0000, 0.5000, 0.0000)
Sn (0.0000, 0.5000, 0.5000)
O (0.0000, 0.0000, 0.2498)
O (0.0000, 0.0000, 0.7502)
O (0.0000, 0.2351, 0.5000)
O (0.0000, 0.2371, 0.0000)
O (0.0000, 0.5000, 0.2441)
O (0.0000, 0.5000, 0.7559)
O (0.0000, 0.7629, 0.0000)
O (0.0000, 0.7649, 0.5000)
O (0.5000, 0.0000, 0.0000)
O (0.5000, 0.0000, 0.5000)
O (0.5000, 0.2513, 0.2508)
O (0.5000, 0.2513, 0.7492)
O (0.5000, 0.5000, 0.0000)
O (0.5000, 0.5000, 0.5000)
O (0.5000, 0.7487, 0.2508)
O (0.5000, 0.7487, 0.7492)

Most intense lines, 10° ≤ 2θ ≤ 90°, sorted by position:
- 10.20°, I 36.4
- 20.47°, I 17.7
- 29.14°, I 14.9
- 30.99°, I 15.8
- 35.92°, I 37.7
- 41.63°, I 100.0
- 41.90°, I 49.8
- 60.33°, I 28.8
- 60.54°, I 57.8
- 76.16°, I 26.5



No. 8
For Mg14CoSnO16, a cell relaxed with PBE+U gives the calculated powder X-ray diffraction pattern in this record (copper Kα).
Kinematic intensities with the Lorentz-polarization factor, no thermal factor.

Cell and atoms:
Cell: 8.6754 8.6754 4.3119 Å, 90.00 90.00 90.00°
Element x y z (fractional)
Mg (0.0000, 0.2449, 0.0000)
Mg (0.0000, 0.5000, 0.5000)
Mg (0.0000, 0.7551, 0.0000)
Mg (0.2373, 0.5000, 0.0000)
Mg (0.2409, 0.2409, 0.5000)
Mg (0.2409, 0.7591, 0.5000)
Mg (0.2449, 0.0000, 0.0000)
Mg (0.5000, 0.0000, 0.5000)
Mg (0.5000, 0.2373, 0.0000)
Mg (0.5000, 0.7627, 0.0000)
Mg (0.7551, 0.0000, 0.0000)
Mg (0.7591, 0.2409, 0.5000)
Mg (0.7591, 0.7591, 0.5000)
Mg (0.7627, 0.5000, 0.0000)
Co (0.0000, 0.0000, 0.5000)
Sn (0.5000, 0.5000, 0.5000)
O (0.0000, 0.0000, 0.0000)
O (0.0000, 0.2590, 0.5000)
O (0.0000, 0.5000, 0.0000)
O (0.0000, 0.7410, 0.5000)
O (0.2374, 0.5000, 0.5000)
O (0.2508, 0.2508, 0.0000)
O (0.2508, 0.7492, 0.0000)
O (0.2590, 0.0000, 0.5000)
O (0.5000, 0.0000, 0.0000)
O (0.5000, 0.2374, 0.5000)
O (0.5000, 0.5000, 0.0000)
O (0.5000, 0.7626, 0.5000)
O (0.7410, 0.0000, 0.5000)
O (0.7492, 0.2508, 0.0000)
O (0.7492, 0.7492, 0.0000)
O (0.7626, 0.5000, 0.5000)

Most intense lines, 10° ≤ 2θ ≤ 90°, sorted by position:
- 14.44°, I 29.4
- 20.47°, I 17.9
- 25.25°, I 19.7
- 29.17°, I 22.4
- 35.93°, I 37.7
- 41.64°, I 100.0
- 41.90°, I 50.0
- 60.36°, I 28.6
- 60.55°, I 57.8
- 76.18°, I 26.4